Record 1
# AlTl6S4
Computed XRD peak list, copper Kα. Input: a DFT-relaxed cell (PBE, Alexandria).
Lines closer than 0.1° are merged.

Cell and atoms:
Cell lengths 10.037, 10.037, 7.325 Å; angles 90.00, 90.00, 120.00 degrees
Element x y z (fractional)
Al (0.333, 0.667, 0.000)
Al (0.667, 0.333, 0.500)
Tl (0.064, 0.532, 0.589)
Tl (0.127, 0.254, 0.272)
Tl (0.127, 0.873, 0.272)
Tl (0.254, 0.127, 0.772)
Tl (0.468, 0.532, 0.589)
Tl (0.468, 0.936, 0.589)
Tl (0.532, 0.064, 0.089)
Tl (0.532, 0.468, 0.089)
Tl (0.746, 0.873, 0.272)
Tl (0.873, 0.127, 0.772)
Tl (0.873, 0.746, 0.772)
Tl (0.936, 0.468, 0.089)
S (0.208, 0.417, 0.898)
S (0.208, 0.792, 0.898)
S (0.333, 0.667, 0.309)
S (0.417, 0.208, 0.398)
S (0.583, 0.792, 0.898)
S (0.667, 0.333, 0.809)
S (0.792, 0.208, 0.398)
S (0.792, 0.583, 0.398)

The 6 most intense peaks (2θ = 5–70°), sorted by position:
hkl	2theta	I (rel.)
2 0 1	23.8	42
1 0 2	26.4	51
2 1 1	29.8	100
2 0 2	32.0	83
3 0 1	33.3	48
3 0 3	48.8	45



Record 2
# Al2TlS4
Computed XRD peak list, copper Kα. Input: a DFT-relaxed cell (PBE, Alexandria).
Lines closer than 0.1° are merged.

Cell and atoms:
Cell lengths 5.236, 5.236, 6.588 Å; angles 90.00, 90.00, 90.00 degrees
Element x y z (fractional)
Al (0.000, 0.500, 0.000)
Al (0.500, 0.000, 0.000)
Tl (0.000, 0.000, 0.500)
S (0.272, 0.272, 0.797)
S (0.272, 0.728, 0.203)
S (0.728, 0.272, 0.203)
S (0.728, 0.728, 0.797)

The 6 most intense peaks (2θ = 5–70°), sorted by position:
hkl	2theta	I (rel.)
1 0 0	16.9	63
1 0 1	21.7	93
1 1 1	27.6	100
1 0 2	32.1	39
2 1 1	40.9	34
2 0 2	44.2	44



Record 3
# AlTlS3
Computed XRD peak list, copper Kα. Input: a DFT-relaxed cell (PBE, Alexandria).
Lines closer than 0.1° are merged.

Cell and atoms:
Cell lengths 4.918, 6.706, 8.436 Å; angles 90.00, 101.06, 90.00 degrees
Element x y z (fractional)
Al (0.032, 0.000, 0.126)
Al (0.968, 0.500, 0.874)
Tl (0.252, 0.974, 0.680)
Tl (0.748, 0.474, 0.320)
S (0.170, 0.314, 0.084)
S (0.215, 0.503, 0.666)
S (0.392, 0.874, 0.313)
S (0.608, 0.374, 0.687)
S (0.785, 0.003, 0.334)
S (0.830, 0.814, 0.916)

The 6 most intense peaks (2θ = 5–70°), sorted by position:
hkl	2theta	I (rel.)
0 1 1	17.0	81
1 1 0	22.7	100
1 0 1	23.0	74
1 0 -2	25.5	64
0 2 0	26.6	99
1 2 -1	33.1	52